For TbPm3Y2Ho6, a crystal structure in Alexandria, relaxed with PBE gives the computed XRD peak list in this record (Cu Kα, 1.54184 Å).
Kinematic intensities with the Lorentz-polarization factor, no thermal factor.

Cell and atoms:
```
data_TbPm3Y2Ho6
_chemical_formula_sum 'Tb2 Pm6 Y4 Ho12'
_cell_length_a 6.185
_cell_length_b 10.705
_cell_length_c 11.799
_cell_angle_alpha 90.00
_cell_angle_beta 100.02
_cell_angle_gamma 90.00
_space_group_name_H-M_alt 'C 1 2/m 1'
_space_group_IT_number 12
_space_group_name_Hall '-C 2y'
loop_
_atom_site_label
_atom_site_type_symbol
_atom_site_fract_x
_atom_site_fract_y
_atom_site_fract_z
Tb1 Tb 0.000 0.000 0.000
Pm1 Pm 0.000 0.167 0.500
Pm2 Pm 0.000 0.500 0.500
Y1 Y 0.000 0.333 0.000
Ho1 Ho 0.249 0.166 0.248
Ho2 Ho 0.250 0.000 0.752
```

Principal peaks in the range 2θ = 10–80°, in order of rising 2θ:
2θ 30.7, intensity 100, hkl 1 3 1
2θ 30.8, intensity 33, hkl 0 0 4
2θ 35.6, intensity 67, hkl 2 0 2
2θ 51.2, intensity 24, hkl 0 6 0
2θ 51.3, intensity 24, hkl 1 3 5
2θ 60.9, intensity 33, hkl 4 0 0

---

For TbPmY6Ho2, a crystal structure in Alexandria, relaxed with PBE gives the computed XRD peak list in this record (Cu Kα, 1.54184 Å).
Kinematic intensities with the Lorentz-polarization factor, no thermal factor.

Cell and atoms:
```
data_TbPmY6Ho2
_chemical_formula_sum 'Tb4 Pm4 Y24 Ho8'
_cell_length_a 9.135
_cell_length_b 14.987
_cell_length_c 9.663
_cell_angle_alpha 90.00
_cell_angle_beta 98.56
_cell_angle_gamma 90.00
_space_group_name_H-M_alt 'C 1 2/c 1'
_space_group_IT_number 15
_space_group_name_Hall '-C 2yc'
loop_
_atom_site_label
_atom_site_type_symbol
_atom_site_fract_x
_atom_site_fract_y
_atom_site_fract_z
Tb1 Tb 0.000 0.024 0.250
Pm1 Pm 0.000 0.407 0.750
Y1 Y 0.064 0.184 0.944
Y2 Y 0.100 0.394 0.119
Y3 Y 0.204 0.225 0.318
Ho1 Ho 0.244 0.051 0.546
```

Principal peaks in the range 2θ = 10–80°, in order of rising 2θ:
2θ 28.7, intensity 50, hkl 1 3 2
2θ 30.4, intensity 59, hkl 3 1 -1
2θ 30.5, intensity 59, hkl 0 2 3
2θ 31.5, intensity 100, hkl 1 5 0
2θ 31.6, intensity 87, hkl 2 2 2
2θ 33.6, intensity 48, hkl 1 3 -3

---

For Tb6PmYHo2, a crystal structure in Alexandria, relaxed with PBE gives the computed XRD peak list in this record (Cu Kα, 1.54184 Å).
Kinematic intensities with the Lorentz-polarization factor, no thermal factor.

Cell and atoms:
```
data_Tb6PmYHo2
_chemical_formula_sum 'Tb24 Pm4 Y4 Ho8'
_cell_length_a 9.062
_cell_length_b 15.099
_cell_length_c 9.615
_cell_angle_alpha 90.00
_cell_angle_beta 97.81
_cell_angle_gamma 90.00
_space_group_name_H-M_alt 'C 1 2/c 1'
_space_group_IT_number 15
_space_group_name_Hall '-C 2yc'
loop_
_atom_site_label
_atom_site_type_symbol
_atom_site_fract_x
_atom_site_fract_y
_atom_site_fract_z
Tb1 Tb 0.063 0.185 0.445
Tb2 Tb 0.103 0.395 0.621
Tb3 Tb 0.202 0.226 0.816
Pm1 Pm 0.000 0.407 0.250
Y1 Y 0.000 0.024 0.750
Ho1 Ho 0.247 0.053 0.044
```

Principal peaks in the range 2θ = 10–80°, in order of rising 2θ:
2θ 28.6, intensity 35, hkl 1 3 2
2θ 30.5, intensity 46, hkl 0 2 3
2θ 30.6, intensity 67, hkl 3 1 -1
2θ 31.3, intensity 44, hkl 1 5 0
2θ 31.5, intensity 100, hkl 2 2 2
2θ 33.7, intensity 63, hkl 1 3 -3

---

For TbPm2Y2Ho, a crystal structure in Alexandria, relaxed with PBE gives the computed XRD peak list in this record (Cu Kα, 1.54184 Å).
Kinematic intensities with the Lorentz-polarization factor, no thermal factor.

Cell and atoms:
```
data_TbPm2Y2Ho
_chemical_formula_sum 'Tb2 Pm4 Y4 Ho2'
_cell_length_a 6.643
_cell_length_b 17.717
_cell_length_c 3.396
_cell_angle_alpha 90.00
_cell_angle_beta 90.00
_cell_angle_gamma 90.00
_space_group_name_H-M_alt 'P n n m'
_space_group_IT_number 58
_space_group_name_Hall '-P 2 2n'
loop_
_atom_site_label
_atom_site_type_symbol
_atom_site_fract_x
_atom_site_fract_y
_atom_site_fract_z
Tb1 Tb 0.000 0.000 0.000
Pm1 Pm 0.235 0.149 0.500
Y1 Y 0.239 0.320 0.000
Ho1 Ho 0.000 0.500 0.000
```

Principal peaks in the range 2θ = 10–80°, in order of rising 2θ:
2θ 28.7, intensity 69, hkl 2 2 0
2θ 30.3, intensity 100, hkl 0 6 0
2θ 31.3, intensity 42, hkl 1 2 1
2θ 33.7, intensity 59, hkl 2 4 0
2θ 36.0, intensity 32, hkl 1 4 1
2θ 41.0, intensity 40, hkl 2 3 1